Starting from a DFT-relaxed cell (PBE, the Materials Project), the powder XRD pattern of Lu2CuRu was computed for Cu Kα X-rays.
Neutral-atom scattering factors, no anomalous dispersion.

Crystal structure
```
Lu2CuRu
1.0
6.690 0.000 0.000
0.000 6.690 0.000
0.000 0.000 6.690
Lu Cu Ru
8 4 4
direct
0.250 0.250 0.250
0.250 0.250 0.750
0.250 0.750 0.250
0.250 0.750 0.750
0.750 0.250 0.250
0.750 0.250 0.750
0.750 0.750 0.250
0.750 0.750 0.750
0.000 0.000 0.000
0.000 0.500 0.500
0.500 0.000 0.500
0.500 0.500 0.000
0.000 0.000 0.500
0.000 0.500 0.000
0.500 0.000 0.000
0.500 0.500 0.500
```

Top 10 peaks for 2θ = 15–90°, sorted by position:
2θ (°), I/Imax
23.03, 1
26.65, 14
38.04, 100
44.94, 1
47.05, 4
54.89, 17
62.04, 6
68.74, 35
81.36, 11
87.48, 3



Starting from a DFT-relaxed cell (PBE, the Materials Project), the powder XRD pattern of Na2CaC2O6 was computed for Cu Kα X-rays.
Neutral-atom scattering factors, no anomalous dispersion.

Crystal structure
```
Na2CaC2O6
1.0
5.222 0.000 0.000
-2.611 4.522 0.000
0.000 0.000 11.538
Na Ca C O
4 2 4 12
direct
0.333 0.667 0.000
0.333 0.667 0.331
0.667 0.333 0.500
0.667 0.333 0.831
0.000 0.000 0.159
0.000 0.000 0.659
0.000 0.000 0.383
0.000 0.000 0.883
0.333 0.667 0.641
0.667 0.333 0.141
0.045 0.523 0.640
0.143 0.287 0.878
0.143 0.857 0.878
0.287 0.143 0.378
0.477 0.523 0.640
0.477 0.955 0.640
0.523 0.045 0.140
0.523 0.477 0.140
0.713 0.857 0.878
0.857 0.143 0.378
0.857 0.713 0.378
0.955 0.477 0.140
```

Top 10 peaks for 2θ = 15–90°, sorted by position:
2θ (°), I/Imax
19.63, 24
30.51, 79
31.00, 79
34.35, 67
36.96, 46
42.96, 100
46.59, 45
51.34, 35
59.72, 27
72.39, 24



Starting from a DFT-relaxed cell (PBE, the Materials Project), the powder XRD pattern of Ti2CrSi6 was computed for Cu Kα X-rays.
Neutral-atom scattering factors, no anomalous dispersion.

Crystal structure
```
Ti2CrSi6
1.0
2.313 -4.053 0.000
2.313 4.053 0.000
0.000 0.000 6.443
Ti Cr Si
2 1 6
direct
0.000 0.500 0.165
0.500 0.000 0.835
0.000 0.000 0.500
0.180 0.337 0.827
0.335 0.665 0.500
0.337 0.180 0.173
0.663 0.820 0.173
0.665 0.335 0.500
0.820 0.663 0.827
```

Top 10 peaks for 2θ = 15–90°, sorted by position:
2θ (°), I/Imax
26.14, 15
38.59, 16
41.15, 100
41.48, 48
42.07, 52
48.15, 59
48.45, 32
71.13, 19
71.34, 17
72.02, 17